Entry 1:
Diffraction record for TbTmZnIn. The powder XRD pattern is calculated, not measured: it uses a GGA-PBE-relaxed structure and a wavelength of 1.5418 Å.
Lines closer than 0.1° are merged.

Cell lengths 3.623, 3.623, 7.408 Å; angles 90.00, 90.00, 90.00 degrees
Space group P4mm (No. 99)
Inequivalent atoms, fractional coordinates:
Tb: 0.000 0.000 0.000 (multiplicity 1)
Tm: 0.000 0.000 0.540 (multiplicity 1)
Zn: 0.500 0.500 0.760 (multiplicity 1)
In: 0.500 0.500 0.275 (multiplicity 1)

Most intense lines, 15 to 90 degrees two-theta, low angle first:
24.6 deg, I 9, hkl 1 0 0
34.6 deg, I 100, hkl 1 0 2
35.0 deg, I 51, hkl 1 1 0
49.2 deg, I 8, hkl 0 0 4
50.4 deg, I 18, hkl 2 0 0
61.8 deg, I 16, hkl 1 1 4
62.6 deg, I 35, hkl 2 1 2
73.1 deg, I 10, hkl 2 0 4
84.4 deg, I 8, hkl 3 0 2
84.6 deg, I 8, hkl 3 1 0


Entry 2:
Diffraction record for Tb15Y4In. The powder XRD pattern is calculated, not measured: it uses a GGA-PBE-relaxed structure and a wavelength of 1.5418 Å.
Lines closer than 0.1° are merged.

Cell lengths 4.985, 4.985, 25.272 Å; angles 90.00, 90.00, 90.00 degrees
Space group P4/mmm (No. 123)
Inequivalent atoms, fractional coordinates:
Tb: 0.000 0.000 0.000 (multiplicity 1)
Tb: 0.000 0.000 0.196 (multiplicity 2)
Tb: 0.000 0.000 0.399 (multiplicity 2)
Tb: 0.000 0.500 0.096 (multiplicity 4)
Tb: 0.000 0.500 0.298 (multiplicity 4)
Tb: 0.000 0.500 0.500 (multiplicity 2)
Y: 0.500 0.500 0.198 (multiplicity 2)
Y: 0.500 0.500 0.399 (multiplicity 2)
In: 0.500 0.500 0.000 (multiplicity 1)

Most intense lines, 15 to 90 degrees two-theta, low angle first:
30.9 deg, I 100, hkl 1 1 5
35.5 deg, I 17, hkl 0 0 10
36.0 deg, I 33, hkl 2 0 0
51.5 deg, I 24, hkl 2 0 10
51.9 deg, I 12, hkl 2 2 0
60.9 deg, I 14, hkl 1 1 15
61.6 deg, I 28, hkl 3 1 5
64.5 deg, I 12, hkl 2 2 10
84.1 deg, I 11, hkl 3 1 15
84.7 deg, I 6, hkl 3 3 5


Entry 3:
Diffraction record for TbYIn3. The powder XRD pattern is calculated, not measured: it uses a GGA-PBE-relaxed structure and a wavelength of 1.5418 Å.
Lines closer than 0.1° are merged.

Cell lengths 5.828, 5.828, 21.953 Å; angles 90.00, 90.00, 90.00 degrees
Space group I-4m2 (No. 119)
Inequivalent atoms, fractional coordinates:
Tb: 0.000 0.000 0.082 (multiplicity 4)
Y: 0.000 0.000 0.500 (multiplicity 2)
Y: 0.000 0.500 0.750 (multiplicity 2)
In: 0.000 0.247 0.628 (multiplicity 8)
In: 0.000 0.500 0.006 (multiplicity 4)

Most intense lines, 15 to 90 degrees two-theta, low angle first:
15.7 deg, I 90, hkl 1 0 1
27.1 deg, I 60, hkl 1 1 4
30.7 deg, I 77, hkl 2 0 0
31.8 deg, I 99, hkl 2 0 2
32.4 deg, I 100, hkl 1 0 7
32.7 deg, I 61, hkl 0 0 8
34.7 deg, I 52, hkl 2 1 1
36.6 deg, I 51, hkl 2 1 3
39.5 deg, I 54, hkl 2 0 6
40.2 deg, I 84, hkl 2 1 5


Entry 4:
Diffraction record for Tb3Y3In2. The powder XRD pattern is calculated, not measured: it uses a GGA-PBE-relaxed structure and a wavelength of 1.5418 Å.
Lines closer than 0.1° are merged.

Cell lengths 4.860, 4.883, 9.688 Å; angles 90.00, 90.00, 90.00 degrees
Space group Pmmm (No. 47)
Inequivalent atoms, fractional coordinates:
Tb: 0.000 0.000 0.000 (multiplicity 1)
Tb: 0.500 0.000 0.249 (multiplicity 2)
Y: 0.000 0.000 0.500 (multiplicity 1)
Y: 0.500 0.500 0.000 (multiplicity 1)
Y: 0.500 0.500 0.500 (multiplicity 1)
In: 0.000 0.500 0.251 (multiplicity 2)

Most intense lines, 15 to 90 degrees two-theta, low angle first:
31.9 deg, I 100, hkl 1 1 2
36.8 deg, I 17, hkl 0 2 0
37.0 deg, I 17, hkl 2 0 0
37.1 deg, I 17, hkl 0 0 4
53.2 deg, I 23, hkl 2 2 0
53.4 deg, I 11, hkl 2 0 4
63.2 deg, I 14, hkl 1 3 2
63.5 deg, I 13, hkl 3 1 2
63.6 deg, I 13, hkl 1 1 6
66.6 deg, I 12, hkl 2 2 4


Entry 5:
Diffraction record for Tb3Y6In. The powder XRD pattern is calculated, not measured: it uses a GGA-PBE-relaxed structure and a wavelength of 1.5418 Å.
Lines closer than 0.1° are merged.

Cell lengths 9.673, 20.397, 6.326 Å; angles 90.00, 90.00, 90.00 degrees
Space group Cmc2_1 (No. 36)
Inequivalent atoms, fractional coordinates:
Tb: 0.000 0.085 0.000 (multiplicity 4)
Tb: 0.168 0.373 0.409 (multiplicity 8)
Y: 0.000 0.211 0.708 (multiplicity 4)
Y: 0.000 0.485 0.733 (multiplicity 4)
Y: 0.179 0.218 0.255 (multiplicity 8)
Y: 0.184 0.058 0.473 (multiplicity 8)
In: 0.000 0.348 0.962 (multiplicity 4)

Most intense lines, 15 to 90 degrees two-theta, low angle first:
29.1 deg, I 52, hkl 2 4 1
29.8 deg, I 41, hkl 0 6 1
31.4 deg, I 100, hkl 3 1 1
32.1 deg, I 60, hkl 1 7 0
32.6 deg, I 46, hkl 1 3 2
33.3 deg, I 51, hkl 0 4 2
33.9 deg, I 73, hkl 3 3 1
35.2 deg, I 36, hkl 2 6 1
35.5 deg, I 22, hkl 3 5 0
57.1 deg, I 32, hkl 6 0 0


Entry 6:
Diffraction record for Tb3Y6In. The powder XRD pattern is calculated, not measured: it uses a GGA-PBE-relaxed structure and a wavelength of 1.5418 Å.
Lines closer than 0.1° are merged.

Cell lengths 9.690, 5.576, 12.431 Å; angles 90.00, 110.56, 90.00 degrees
Space group P2_1/m (No. 11)
Inequivalent atoms, fractional coordinates:
Tb: 0.024 0.250 0.370 (multiplicity 2)
Tb: 0.098 0.750 0.221 (multiplicity 2)
Tb: 0.271 0.250 0.973 (multiplicity 2)
Y: 0.038 0.750 0.929 (multiplicity 2)
Y: 0.192 0.250 0.668 (multiplicity 2)
Y: 0.262 0.750 0.509 (multiplicity 2)
Y: 0.345 0.250 0.301 (multiplicity 2)
Y: 0.349 0.750 0.826 (multiplicity 2)
Y: 0.424 0.750 0.138 (multiplicity 2)
In: 0.467 0.250 0.586 (multiplicity 2)

Most intense lines, 15 to 90 degrees two-theta, low angle first:
30.1 deg, I 22, hkl 2 0 -4
32.1 deg, I 100, hkl 0 2 0
32.4 deg, I 78, hkl 1 1 3
34.2 deg, I 28, hkl 2 1 -4
44.6 deg, I 15, hkl 2 2 -4
47.9 deg, I 9, hkl 4 0 2
57.3 deg, I 12, hkl 3 3 -1
57.4 deg, I 15, hkl 1 3 3
58.6 deg, I 11, hkl 2 3 -4
58.8 deg, I 11, hkl 4 2 2